Entry 1:
Tb2Th3Fe2: simulated PXRD pattern (a wavelength of 1.5418 Å), based on a crystal structure in Alexandria, relaxed with GGA-PBE.

```
data_Tb2Th3Fe2
_chemical_formula_sum 'Tb2 Th3 Fe2'
_cell_length_a 3.8510
_cell_length_b 6.1821
_cell_length_c 8.4664
_cell_angle_alpha 77.27
_cell_angle_beta 76.89
_cell_angle_gamma 71.89
_symmetry_space_group_name_H-M 'P -1'
_symmetry_Int_Tables_number 2
_symmetry_space_group_name_Hall '-P 1'
loop_
_atom_site_label
_atom_site_type_symbol
_atom_site_fract_x
_atom_site_fract_y
_atom_site_fract_z
Tb1 Tb 0.1059 0.1844 0.1054
Th1 Th 0.3292 0.5866 0.2552
Th2 Th 0.5000 0.0000 0.5000
Fe1 Fe 0.1426 0.6364 0.5796
```

The 10 most intense peaks (10 to 90 degrees two-theta), in order of rising 2θ:
2theta  d_spacing  intensity  h k l
24.6  3.615  117  0 1 2
28.8  3.104  1000  1 1 2
31.0  2.882  304  0 2 1
33.9  2.642  756  1 2 0
34.2  2.625  251  0 1 3
47.2  1.925  157  2 1 1
47.4  1.918  211  1 0 4
50.4  1.811  164  1 3 3
57.6  1.601  210  2 3 2
59.6  1.552  154  2 2 4

Entry 2:
Tb3TiFe8: simulated PXRD pattern (a wavelength of 1.5418 Å), based on a crystal structure in Alexandria, relaxed with GGA-PBE.

```
data_Tb3TiFe8
_chemical_formula_sum 'Tb9 Ti3 Fe24'
_cell_length_a 5.0617
_cell_length_b 5.0617
_cell_length_c 24.8480
_cell_angle_alpha 90.00
_cell_angle_beta 90.00
_cell_angle_gamma 120.00
_symmetry_space_group_name_H-M 'R 3 m'
_symmetry_Int_Tables_number 160
_symmetry_space_group_name_Hall 'R 3 -2"'
loop_
_atom_site_label
_atom_site_type_symbol
_atom_site_fract_x
_atom_site_fract_y
_atom_site_fract_z
Tb1 Tb 0.0000 0.0000 0.0000
Tb2 Tb 0.0000 0.0000 0.1262
Tb3 Tb 0.0000 0.0000 0.5038
Ti1 Ti 0.0000 0.0000 0.6271
Fe1 Fe 0.0000 0.0000 0.3134
Fe2 Fe 0.0000 0.0000 0.8142
Fe3 Fe 0.0011 0.5006 0.5666
Fe4 Fe 0.1685 0.3370 0.3945
```

The 10 most intense peaks (10 to 90 degrees two-theta), in order of rising 2θ:
2theta  d_spacing  intensity  h k l
21.5  4.136  111  0 0 6
35.4  2.533  582  1 1 0
41.8  2.160  1000  1 0 10
43.8  2.068  181  0 2 4
63.6  1.463  157  1 2 8
68.0  1.378  224  2 1 10
74.9  1.267  106  0 2 16
75.1  1.265  109  2 2 0
85.8  1.133  93  2 1 16
89.8  1.092  82  1 3 10

Which formula does entry 2 have?
Tb3TiFe8